The following is a simulated powder XRD pattern of V4P2C. It was derived from a structure optimized by DFT (GGA-PBE), using Cu Kα (λ = 1.5418 Å).
Intensities are scaled so that the largest is 100.

Top 10 peaks for 2θ from 10° to 80°, by angle:
35.8°, intensity 12
39.3°, intensity 36
40.6°, intensity 100
43.8°, intensity 29
47.8°, intensity 19
58.5°, intensity 14
65.7°, intensity 11
72.8°, intensity 10
75.2°, intensity 7
75.9°, intensity 10

Structure:
```
data_V4P2C
_cell_length_a 9.5504
_cell_length_b 9.5504
_cell_length_c 3.1543
_cell_angle_alpha 90.00
_cell_angle_beta 90.00
_cell_angle_gamma 120.00
_symmetry_space_group_name_H-M 'P -6 2 m'
_symmetry_Int_Tables_number 189
_symmetry_space_group_name_Hall 'P -6 -2'
loop_
_atom_site_label
_atom_site_type_symbol
_atom_site_fract_x
_atom_site_fract_y
_atom_site_fract_z
_atom_site_occupancy
V1 V 0.0000 0.5337 0.0000 1
V2 V 0.0000 0.8135 0.0000 1
V3 V 0.2078 0.4518 0.5000 1
P1 P 0.0000 0.0000 0.5000 1
P2 P 0.0000 0.2821 0.0000 1
P3 P 0.3333 0.6667 0.0000 1
C1 C 0.0000 0.6692 0.5000 1
```

The following is a simulated powder XRD pattern of HoH12C2O4F. It was derived from a structure optimized by DFT (GGA-PBE), using Cu Kα (λ = 1.5418 Å).
Intensities are scaled so that the largest is 100.

Top 10 peaks for 2θ from 10° to 80°, by angle:
12.1°, intensity 100
13.1°, intensity 58
18.5°, intensity 11
20.7°, intensity 18
21.2°, intensity 40
24.2°, intensity 12
24.8°, intensity 14
25.6°, intensity 10
32.1°, intensity 16
45.0°, intensity 12

Structure:
```
data_HoH12C2O4F
_cell_length_a 12.449
_cell_length_b 11.452
_cell_length_c 8.392
_cell_angle_alpha 90.00
_cell_angle_beta 129.75
_cell_angle_gamma 90.00
_symmetry_space_group_name_H-M 'C 1 2/c 1'
_symmetry_Int_Tables_number 15
_symmetry_space_group_name_Hall '-C 2yc'
loop_
_atom_site_label
_atom_site_type_symbol
_atom_site_fract_x
_atom_site_fract_y
_atom_site_fract_z
_atom_site_occupancy
Ho1 Ho 0.000 0.081 0.250 1
H1 H 0.026 0.347 0.495 1
H2 H 0.039 0.412 0.781 1
H3 H 0.078 0.394 0.564 1
H4 H 0.153 0.101 0.793 1
H5 H 0.186 0.096 0.908 1
H6 H 0.217 0.422 0.848 1
C1 C 0.226 0.275 0.398 1
O1 O 0.124 0.223 0.235 1
O2 O 0.206 0.138 0.588 1
F1 F 0.000 0.000 0.000 1
```

The following is a simulated powder XRD pattern of Cs4BiSbCl12. It was derived from a structure optimized by DFT (GGA-PBE), using Cu Kα (λ = 1.5418 Å).
Intensities are scaled so that the largest is 100.

Top 10 peaks for 2θ from 10° to 80°, by angle:
14.1°, intensity 59
23.2°, intensity 100
27.2°, intensity 29
28.5°, intensity 30
32.9°, intensity 23
33.0°, intensity 42
40.7°, intensity 39
47.3°, intensity 28
47.4°, intensity 12
58.9°, intensity 12

Structure:
```
data_Cs4BiSbCl12
_cell_length_a 10.844
_cell_length_b 10.844
_cell_length_c 21.780
_cell_angle_alpha 90.00
_cell_angle_beta 90.00
_cell_angle_gamma 90.00
_symmetry_space_group_name_H-M 'I 41/a m d'
_symmetry_Int_Tables_number 141
loop_
_symmetry_equiv_pos_as_xyz
'x,y,z'
'-x,-y,-z'
'-y+1/4,x+3/4,z+1/4'
'y+1/4,-x+3/4,-z+1/4'
'-x+1/2,-y,z+1/2'
'x+1/2,y,-z+1/2'
'y+1/4,-x+1/4,z+3/4'
'-y+1/4,x+1/4,-z+3/4'
'x,-y,-z'
'-x,y,z'
'-y+1/4,-x+1/4,-z+3/4'
'y+1/4,x+1/4,z+3/4'
'-x+1/2,y,-z+1/2'
'x+1/2,-y,z+1/2'
'y+1/4,x+3/4,-z+1/4'
'-y+1/4,-x+3/4,z+1/4'
'x+1/2,y+1/2,z+1/2'
'-x+1/2,-y+1/2,-z+1/2'
'-y+3/4,x+1/4,z+3/4'
'y+3/4,-x+1/4,-z+3/4'
'-x,-y+1/2,z'
'x,y+1/2,-z'
'y+3/4,-x+3/4,z+1/4'
'-y+3/4,x+3/4,-z+1/4'
'x+1/2,-y+1/2,-z+1/2'
'-x+1/2,y+1/2,z+1/2'
'-y+3/4,-x+3/4,-z+1/4'
'y+3/4,x+3/4,z+1/4'
'-x,y+1/2,-z'
'x,-y+1/2,z'
'y+3/4,x+1/4,-z+3/4'
'-y+3/4,-x+1/4,z+3/4'
loop_
_atom_site_label
_atom_site_type_symbol
_atom_site_fract_x
_atom_site_fract_y
_atom_site_fract_z
_atom_site_occupancy
Cs1 Cs 0.220 0.000 0.000 1
Bi1 Bi 0.000 0.250 0.875 1
Sb1 Sb 0.000 0.250 0.375 1
Cl1 Cl 0.000 0.002 0.130 1
Cl2 Cl 0.000 0.027 0.375 1
Cl3 Cl 0.000 0.250 0.000 1
Cl4 Cl 0.000 0.250 0.264 1
```

The following is a simulated powder XRD pattern of K2CuTeO7. It was derived from a structure optimized by DFT (GGA-PBE), using Cu Kα (λ = 1.5418 Å).
Intensities are scaled so that the largest is 100.

Top 10 peaks for 2θ from 10° to 80°, by angle:
14.9°, intensity 100
16.6°, intensity 25
18.0°, intensity 48
18.3°, intensity 60
19.1°, intensity 22
27.7°, intensity 51
28.3°, intensity 50
33.5°, intensity 57
36.5°, intensity 26
38.8°, intensity 32

Structure:
```
data_K2CuTeO7
_cell_length_a 9.277
_cell_length_b 6.556
_cell_length_c 11.902
_cell_angle_alpha 90.00
_cell_angle_beta 92.19
_cell_angle_gamma 90.00
_symmetry_space_group_name_H-M 'C 1 c 1'
_symmetry_Int_Tables_number 9
_symmetry_space_group_name_Hall 'C -2yc'
loop_
_atom_site_label
_atom_site_type_symbol
_atom_site_fract_x
_atom_site_fract_y
_atom_site_fract_z
_atom_site_occupancy
K1 K 0.000 0.220 0.000 1
K2 K 0.412 0.229 0.143 1
Cu1 Cu 0.195 0.492 0.325 1
Te1 Te 0.440 0.248 0.824 1
O1 O 0.044 0.003 0.806 1
O2 O 0.068 0.385 0.217 1
O3 O 0.085 0.367 0.434 1
O4 O 0.217 0.112 0.539 1
O5 O 0.302 0.386 0.717 1
O6 O 0.316 0.385 0.932 1
O7 O 0.336 0.005 0.332 1
```

The following is a simulated powder XRD pattern of La3Os2O10. It was derived from a structure optimized by DFT (GGA-PBE), using Cu Kα (λ = 1.5418 Å).
Intensities are scaled so that the largest is 100.

Top 10 peaks for 2θ from 10° to 80°, by angle:
17.9°, intensity 43
24.8°, intensity 25
25.0°, intensity 30
26.3°, intensity 100
28.4°, intensity 69
31.9°, intensity 81
33.6°, intensity 27
39.3°, intensity 26
40.5°, intensity 28
45.3°, intensity 49

Structure:
```
data_La3Os2O10
_cell_length_a 7.944
_cell_length_b 8.010
_cell_length_c 7.034
_cell_angle_alpha 90.00
_cell_angle_beta 115.50
_cell_angle_gamma 90.00
_symmetry_space_group_name_H-M 'C 1 2/m 1'
_symmetry_Int_Tables_number 12
_symmetry_space_group_name_Hall '-C 2y'
loop_
_atom_site_label
_atom_site_type_symbol
_atom_site_fract_x
_atom_site_fract_y
_atom_site_fract_z
_atom_site_occupancy
La1 La 0.000 0.000 0.000 1
La2 La 0.000 0.256 0.500 1
Os1 Os 0.131 0.500 0.176 1
O1 O 0.097 0.000 0.717 1
O2 O 0.138 0.261 0.211 1
O3 O 0.144 0.500 0.898 1
O4 O 0.170 0.500 0.473 1
```

The following is a simulated powder XRD pattern of Na2CuBSO7. It was derived from a structure optimized by DFT (GGA-PBE), using Cu Kα (λ = 1.5418 Å).
Intensities are scaled so that the largest is 100.

Top 10 peaks for 2θ from 10° to 80°, by angle:
10.1°, intensity 100
15.8°, intensity 42
24.3°, intensity 45
26.6°, intensity 39
27.2°, intensity 18
31.7°, intensity 27
31.9°, intensity 23
35.4°, intensity 23
38.2°, intensity 15
49.7°, intensity 16

Structure:
```
data_Na2CuBSO7
_cell_length_a 5.070
_cell_length_b 7.340
_cell_length_c 8.761
_cell_angle_alpha 90.00
_cell_angle_beta 91.37
_cell_angle_gamma 90.00
_symmetry_space_group_name_H-M 'P 1 21/m 1'
_symmetry_Int_Tables_number 11
_symmetry_space_group_name_Hall '-P 2yb'
loop_
_atom_site_label
_atom_site_type_symbol
_atom_site_fract_x
_atom_site_fract_y
_atom_site_fract_z
_atom_site_occupancy
Na1 Na 0.232 0.002 0.270 1
Cu1 Cu 0.226 0.250 0.845 1
B1 B 0.274 0.250 0.574 1
S1 S 0.278 0.750 0.921 1
O1 O 0.042 0.250 0.658 1
O2 O 0.140 0.750 0.072 1
O3 O 0.215 0.584 0.834 1
O4 O 0.288 0.250 0.424 1
O5 O 0.426 0.250 0.039 1
O6 O 0.476 0.250 0.687 1
```

The following is a simulated powder XRD pattern of MgSi. It was derived from a structure optimized by DFT (GGA-PBE), using Cu Kα (λ = 1.5418 Å).
Intensities are scaled so that the largest is 100.

Top 10 peaks for 2θ from 10° to 80°, by angle:
37.4°, intensity 100
38.0°, intensity 98
40.5°, intensity 38
44.7°, intensity 31
46.0°, intensity 26
62.7°, intensity 10
62.9°, intensity 10
66.0°, intensity 16
78.2°, intensity 10
79.7°, intensity 12

Structure:
```
data_MgSi
_cell_length_a 4.989
_cell_length_b 5.071
_cell_length_c 8.933
_cell_angle_alpha 94.85
_cell_angle_beta 93.22
_cell_angle_gamma 107.53
_symmetry_space_group_name_H-M 'P 1'
_symmetry_Int_Tables_number 1
_symmetry_space_group_name_Hall 'P 1'
loop_
_atom_site_label
_atom_site_type_symbol
_atom_site_fract_x
_atom_site_fract_y
_atom_site_fract_z
_atom_site_occupancy
Mg1 Mg 0.000 0.000 0.000 1
Mg2 Mg 0.002 0.534 0.189 1
Mg3 Mg 0.476 0.523 0.006 1
Mg4 Mg 0.478 0.513 0.676 1
Mg5 Mg 0.527 0.534 0.354 1
Mg6 Mg 0.978 0.990 0.653 1
Si1 Si 0.019 0.065 0.339 1
Si2 Si 0.456 0.994 0.503 1
Si3 Si 0.508 0.019 0.186 1
Si4 Si 0.510 0.042 0.817 1
Si5 Si 0.949 0.470 0.847 1
Si6 Si 0.984 0.474 0.516 1
```